For Y4Ni13B4, DFT lattice parameters and positions (PBE) gives the simulated PXRD pattern in this record (Cu Kα (weighted mean of Kα1 and Kα2)).
Lines closer than 0.1° are merged.

Top 10 peaks for 2θ from 5° to 70°, by angle:
| 2θ (°) | I_rel |
| --- | --- |
| 10.35 | 28 |
| 32.71 | 50 |
| 32.93 | 22 |
| 37.48 | 45 |
| 40.49 | 24 |
| 40.76 | 100 |
| 43.51 | 34 |
| 43.85 | 21 |
| 44.50 | 20 |
| 46.60 | 46 |

Cell and atoms:
Cell lengths 8.545, 8.545, 3.898 Å; angles 90.00, 90.00, 90.91 degrees
Positions (direct):
Y 0.190 0.810 0.000
Y 0.349 0.349 0.000
Y 0.651 0.651 0.000
Y 0.810 0.190 0.000
Ni 0.000 0.000 0.500
Ni 0.000 0.500 0.000
Ni 0.076 0.286 0.500
Ni 0.122 0.122 0.000
Ni 0.210 0.579 0.500
Ni 0.286 0.076 0.500
Ni 0.421 0.790 0.500
Ni 0.500 0.000 0.000
Ni 0.579 0.210 0.500
Ni 0.714 0.924 0.500
Ni 0.790 0.421 0.500
Ni 0.878 0.878 0.000
Ni 0.924 0.714 0.500
B 0.000 0.500 0.500
B 0.435 0.565 0.500
B 0.500 0.000 0.500
B 0.565 0.435 0.500